(1)
This entry pairs a crystal structure of Ba2UBeSe5 with its simulated powder diffraction line list. Radiation: λ = 1.5418 Å (Cu Kα). Structure: a crystal structure in Alexandria, relaxed with PBE.

Main lines, by angle (10° ≤ 2θ ≤ 90°):
two_theta  I_rel
16.2  218
20.3  136
21.9  202
29.3  1000
29.7  308
34.8  374
41.3  118
42.7  193
52.9  122
53.0  129

Atomic structure:
```
data_Ba2UBeSe5
_cell_length_a 9.4882
_cell_length_b 9.4882
_cell_length_c 13.5562
_cell_angle_alpha 90.00
_cell_angle_beta 90.00
_cell_angle_gamma 154.21
_space_group_name_H-M_alt 'P 1'
_space_group_IT_number 1
loop_
_space_group_symop_operation_xyz
'x,y,z'
loop_
_atom_site_label
_atom_site_type_symbol
_atom_site_fract_x
_atom_site_fract_y
_atom_site_fract_z
Ba1 Ba 0.1186 0.8814 0.5000
Ba2 Ba 0.1202 0.8798 0.8566
Ba3 Ba 0.8798 0.1202 0.3566
Ba4 Ba 0.8814 0.1186 0.0000
U1 U 0.1922 0.8078 0.1875
U2 U 0.8078 0.1922 0.6875
Be1 Be 0.4350 0.5650 0.5796
Be2 Be 0.5650 0.4350 0.0796
Se1 Se 0.0424 0.9576 0.1667
Se2 Se 0.3049 0.6951 0.8289
Se3 Se 0.3125 0.6875 0.5419
Se4 Se 0.3422 0.6578 0.1787
Se5 Se 0.4955 0.5045 0.4415
Se6 Se 0.5045 0.4955 0.9415
Se7 Se 0.6578 0.3422 0.6787
Se8 Se 0.6875 0.3125 0.0419
Se9 Se 0.6951 0.3049 0.3289
Se10 Se 0.9576 0.0424 0.6667
```

=====

(2)
This entry pairs a crystal structure of Li2AcTiO4 with its simulated powder diffraction line list. Radiation: λ = 1.5418 Å (Cu Kα). Structure: a crystal structure in Alexandria, relaxed with PBE.

Main lines, by angle (10° ≤ 2θ ≤ 90°):
two_theta  I_rel
20.7  435
20.8  464
23.1  1000
25.6  265
34.8  779
39.1  245
39.4  258
42.0  229
42.3  471
54.6  251

Atomic structure:
```
data_Li2AcTiO4
_cell_length_a 5.1856
_cell_length_b 5.1856
_cell_length_c 5.1856
_cell_angle_alpha 117.15
_cell_angle_beta 116.40
_cell_angle_gamma 95.68
_space_group_name_H-M_alt 'P 1'
_space_group_IT_number 1
loop_
_space_group_symop_operation_xyz
'x,y,z'
loop_
_atom_site_label
_atom_site_type_symbol
_atom_site_fract_x
_atom_site_fract_y
_atom_site_fract_z
Li1 Li 0.2347 0.2347 0.0000
Li2 Li 0.7653 0.7653 0.0000
Ac1 Ac 0.0000 0.5000 0.5000
Ti1 Ti 0.5000 0.0000 0.5000
O1 O 0.1577 0.6175 0.1161
O2 O 0.4986 0.3825 0.5402
O3 O 0.5014 0.0416 0.8839
O4 O 0.8423 0.9584 0.4598
```

=====

(3)
This entry pairs a crystal structure of In3GaHg6 with its simulated powder diffraction line list. Radiation: λ = 1.5418 Å (Cu Kα). Structure: a crystal structure in Alexandria, relaxed with PBE.

Main lines, by angle (10° ≤ 2θ ≤ 90°):
two_theta  I_rel
29.8  1000
31.9  196
37.4  363
40.7  256
43.4  131
47.4  371
57.0  165
64.5  126
66.2  226
77.2  139

Atomic structure:
```
data_In3GaHg6
_cell_length_a 3.8373
_cell_length_b 3.8373
_cell_length_c 20.8539
_cell_angle_alpha 90.00
_cell_angle_beta 90.00
_cell_angle_gamma 120.00
_space_group_name_H-M_alt 'P 1'
_space_group_IT_number 1
loop_
_space_group_symop_operation_xyz
'x,y,z'
loop_
_atom_site_label
_atom_site_type_symbol
_atom_site_fract_x
_atom_site_fract_y
_atom_site_fract_z
In1 In 0.0000 0.0000 0.0000
In2 In 0.0000 0.0000 0.3071
In3 In 0.0000 0.0000 0.6929
Ga1 Ga 0.0000 0.0000 0.5000
Hg1 Hg 0.3333 0.6667 0.1033
Hg2 Hg 0.3333 0.6667 0.4117
Hg3 Hg 0.3333 0.6667 0.7957
Hg4 Hg 0.6667 0.3333 0.2043
Hg5 Hg 0.6667 0.3333 0.5883
Hg6 Hg 0.6667 0.3333 0.8967
```

=====

(4)
This entry pairs a crystal structure of PaInBi with its simulated powder diffraction line list. Radiation: λ = 1.5418 Å (Cu Kα). Structure: a crystal structure in Alexandria, relaxed with PBE.

Main lines, by angle (10° ≤ 2θ ≤ 90°):
two_theta  I_rel
28.5  529
30.4  741
30.7  495
35.3  1000
37.0  225
40.8  633
42.4  214
51.9  464
59.1  216
70.7  269

Atomic structure:
```
data_PaInBi
_cell_length_a 4.4226
_cell_length_b 4.4226
_cell_length_c 8.7381
_cell_angle_alpha 90.00
_cell_angle_beta 90.00
_cell_angle_gamma 90.00
_space_group_name_H-M_alt 'P 1'
_space_group_IT_number 1
loop_
_space_group_symop_operation_xyz
'x,y,z'
loop_
_atom_site_label
_atom_site_type_symbol
_atom_site_fract_x
_atom_site_fract_y
_atom_site_fract_z
Pa1 Pa 0.2500 0.2500 0.2118
Pa2 Pa 0.7500 0.7500 0.7882
In1 In 0.2500 0.7500 0.5000
In2 In 0.7500 0.2500 0.5000
Bi1 Bi 0.2500 0.2500 0.8417
Bi2 Bi 0.7500 0.7500 0.1583
```